Diffraction record for KNb2Cl11. The PXRD pattern is computed, not measured: it uses the GGA-PBE geometry in the Materials Project and copper Kα.
Peak positions follow from Bragg's law for the DFT cell and can differ from measured ones.

Principal peaks in the range 2θ from 15° to 90°, by intensity:
- 2θ 18.1, I = 100
- 2θ 29.6, I = 93
- 2θ 36.7, I = 69
- 2θ 18.0, I = 64
- 2θ 31.5, I = 63
- 2θ 29.3, I = 62
- 2θ 23.7, I = 48
- 2θ 20.0, I = 40
- 2θ 35.1, I = 40
- 2θ 48.6, I = 35

Cell and atoms:
```
28
Lattice="7.051 0.000 0.000 0.315 7.103 0.000 3.370 3.156 17.050" Properties=species:S:1:pos:R:3 pbc="T T T"
K 1.831 1.768 0.058
K 8.905 8.491 16.991
Nb 1.993 5.325 2.765
Nb 4.553 7.726 10.038
Nb 6.183 2.534 7.012
Nb 8.742 4.934 14.285
Cl 2.618 8.284 11.129
Cl 3.187 3.088 14.531
Cl 3.548 6.414 14.426
Cl 2.006 5.481 5.063
Cl 3.416 6.621 8.325
Cl 2.012 5.209 0.234
Cl 4.069 2.728 8.535
Cl 3.463 3.467 2.729
Cl 5.158 5.779 11.082
Cl 3.841 6.812 2.499
Cl 5.880 9.052 11.425
Cl 4.855 1.207 5.625
Cl 6.894 3.447 14.550
Cl 5.578 4.481 5.968
Cl 7.273 6.793 14.321
Cl 6.666 7.532 8.515
Cl 8.724 5.050 16.815
Cl 7.319 3.638 8.725
Cl 8.729 4.778 11.986
Cl 7.188 3.845 2.624
Cl 7.548 7.171 2.519
Cl 8.118 1.975 5.920
```

***

Diffraction record for K2Nb3Cl7O5. The PXRD pattern is computed, not measured: it uses the GGA-PBE geometry in the Materials Project and copper Kα.
Peak positions follow from Bragg's law for the DFT cell and can differ from measured ones.

Principal peaks in the range 2θ from 15° to 90°, by intensity:
- 2θ 25.7, I = 100
- 2θ 26.2, I = 72
- 2θ 34.2, I = 61
- 2θ 31.7, I = 39
- 2θ 22.6, I = 38
- 2θ 18.5, I = 33
- 2θ 21.2, I = 32
- 2θ 39.1, I = 29
- 2θ 26.0, I = 28
- 2θ 37.6, I = 26

Cell and atoms:
```
34
Lattice="8.544 -4.500 0.000 8.544 4.500 0.000 -4.393 0.000 10.430" Properties=species:S:1:pos:R:3 pbc="T T T"
K 1.927 0.309 3.721
K -0.269 -0.309 8.935
K 12.965 0.309 1.494
K 10.768 -0.309 6.709
Nb 8.376 2.596 0.283
Nb 6.516 2.596 4.932
Nb 5.249 0.333 7.822
Nb 7.446 -0.333 2.607
Nb 6.179 -2.596 5.498
Nb 4.320 -2.596 10.147
Cl 1.675 2.644 9.948
Cl 4.336 2.575 3.817
Cl 7.446 3.688 2.607
Cl 3.042 0.675 6.898
Cl 8.823 2.644 5.697
Cl 10.556 2.575 1.398
Cl 5.238 -0.675 1.683
Cl 7.457 0.675 8.747
Cl 2.140 -2.575 9.032
Cl 3.872 -2.644 4.733
Cl 9.654 -0.675 3.532
Cl 5.249 -3.688 7.822
Cl 8.359 -2.575 6.613
Cl 11.020 -2.644 0.482
O 0.000 0.000 0.000
O -2.197 0.000 5.215
O 4.644 1.920 9.168
O 5.855 1.920 6.477
O 7.955 0.910 1.308
O 6.937 0.910 3.907
O 5.758 -0.910 6.523
O 4.741 -0.910 9.122
O 6.841 -1.920 3.953
O 8.051 -1.920 1.262
```

***

Diffraction record for K2NdCl5. The PXRD pattern is computed, not measured: it uses the GGA-PBE geometry in the Materials Project and copper Kα.
Peak positions follow from Bragg's law for the DFT cell and can differ from measured ones.

Principal peaks in the range 2θ from 15° to 90°, by intensity:
- 2θ 32.9, I = 100
- 2θ 24.0, I = 100
- 2θ 37.2, I = 80
- 2θ 41.2, I = 78
- 2θ 34.1, I = 77
- 2θ 23.0, I = 76
- 2θ 24.4, I = 75
- 2θ 41.6, I = 74
- 2θ 47.7, I = 64
- 2θ 30.7, I = 53

Cell and atoms:
```
32
Lattice="13.140 0.000 0.000 0.000 8.771 0.000 0.000 0.000 8.163" Properties=species:S:1:pos:R:3 pbc="T T T"
K 2.293 0.000 0.265
K 2.293 4.385 0.265
K 4.278 8.771 4.346
K 4.278 4.386 4.346
K 8.863 0.000 3.817
K 8.863 4.385 3.817
K 10.848 8.771 7.899
K 10.848 4.386 7.899
Nd 0.050 2.193 4.698
Nd 6.520 6.578 0.617
Nd 6.620 2.193 7.547
Nd 13.090 6.578 3.465
Cl 0.141 2.193 7.499
Cl 1.100 4.744 5.345
Cl 1.100 8.412 5.345
Cl 2.213 2.193 2.944
Cl 2.631 6.578 2.665
Cl 3.940 2.193 6.747
Cl 4.357 6.578 7.026
Cl 5.470 0.359 1.264
Cl 5.470 4.027 1.264
Cl 6.429 6.578 3.417
Cl 6.711 2.193 4.746
Cl 7.670 4.744 6.900
Cl 7.670 8.412 6.900
Cl 8.783 2.193 1.137
Cl 9.201 6.578 1.417
Cl 10.510 2.193 5.498
Cl 10.927 6.578 5.219
Cl 12.040 0.359 2.818
Cl 12.040 4.027 2.818
Cl 12.999 6.578 0.665
```

***

Diffraction record for K2RbNdCl6. The PXRD pattern is computed, not measured: it uses the GGA-PBE geometry in the Materials Project and copper Kα.
Peak positions follow from Bragg's law for the DFT cell and can differ from measured ones.

Principal peaks in the range 2θ from 15° to 90°, by intensity:
- 2θ 21.5, I = 100
- 2θ 30.6, I = 97
- 2θ 15.2, I = 97
- 2θ 43.9, I = 65
- 2θ 34.3, I = 48
- 2θ 37.7, I = 45
- 2θ 59.2, I = 26
- 2θ 72.4, I = 25
- 2θ 46.7, I = 25
- 2θ 49.4, I = 24

Cell and atoms:
```
10
Lattice="0.000 5.839 5.839 5.839 0.000 5.839 5.839 5.839 0.000" Properties=species:S:1:pos:R:3 pbc="T T T"
K 2.920 2.920 2.920
K 8.759 8.759 8.759
Rb 0.000 0.000 0.000
Nd 5.839 5.839 5.839
Cl 5.839 5.839 3.112
Cl 5.839 3.112 5.839
Cl 8.566 5.839 5.839
Cl 3.112 5.839 5.839
Cl 5.839 8.566 5.839
Cl 5.839 5.839 8.566
```